Ac4Ga3NiO12: simulated powder diffractogram (λ = 1.5418 Å (Cu Kα)), based on a PBE+U-relaxed structure.
Peak positions follow from Bragg's law for the DFT cell and can differ from measured ones.

Structural model:
Cell: 7.9431 7.9431 7.9431 Å, 90.00 90.00 90.00°
Space group Im-3m (No. 229)
One atom of each set of equivalent atoms:
Ac (0.2500, 0.2500, 0.2500) (multiplicity 8)
Ga (0.0000, 0.0000, 0.5000) (multiplicity 6)
Ni (0.0000, 0.0000, 0.0000) (multiplicity 2)
O (0.0000, 0.0000, 0.2521) (multiplicity 12)
O (0.0000, 0.2500, 0.5000) (multiplicity 12)

Top 6 peaks for 2θ from 10° to 90°, by angle:
| two_theta | d/Å | Rel. int. | (hkl) |
| --- | --- | --- | --- |
| 22.39 | 3.972 | 26 | 2 0 0 |
| 31.87 | 2.808 | 100 | 2 2 0 |
| 39.29 | 2.293 | 20 | 2 2 2 |
| 45.69 | 1.986 | 28 | 4 0 0 |
| 56.78 | 1.621 | 41 | 4 2 2 |
| 75.73 | 1.256 | 18 | 6 2 0 |